Structure and theoretical powder X-ray diffraction pattern of Cs2NaGaH6 (a DFT-relaxed cell (PBE, Alexandria); Cu Ka).
No peak broadening, texture or thermal motion is included.

Structural model:
```
10
Lattice="6.210 0.000 0.000 -3.105 5.378 0.000 0.000 0.000 5.530" Properties=species:S:1:pos:R:3 pbc="T T T"
Cs 0.000 3.585 1.141
Cs 3.105 1.793 4.389
Na 0.000 0.000 2.765
Ga 0.000 0.000 0.000
H 0.000 1.470 4.485
H -1.832 4.643 4.485
H 1.273 0.735 1.045
H 1.832 4.643 4.485
H 4.937 0.735 1.045
H 3.105 3.908 1.045
```

Top 10 peaks for 2θ from 10° to 90°, in order of falling intensity:
two_theta	intensity
23.1	100
28.8	78
36.5	36
37.2	31
47.7	28
56.2	21
47.1	18
50.9	16
16.0	13
33.1	12